# Ac2TlHgIr
Calculated X-ray diffraction stick pattern, Cu Ka. Input: a DFT-relaxed cell (PBE, Alexandria).
Peak positions follow from Bragg's law for the DFT cell and can differ from measured ones.

Structure:
Cell lengths 8.6273, 4.3811, 9.1732 Å; angles 90.00, 103.21, 90.00 degrees
Positions (direct):
Ac 0.1521 0.2500 0.3765
Ac 0.1908 0.2500 0.9575
Ac 0.8092 0.7500 0.0425
Ac 0.8479 0.7500 0.6235
Tl 0.4859 0.7500 0.3305
Tl 0.5141 0.2500 0.6695
Hg 0.2604 0.7500 0.6803
Hg 0.7396 0.2500 0.3197
Ir 0.1702 0.7500 0.1724
Ir 0.8298 0.2500 0.8276

The 12 most intense peaks (10° ≤ 2θ ≤ 90°), most intense first:
(1 1 -2), 2θ = 28.82°, I 100; (2 1 2), 2θ = 38.55°, I 39; (0 1 2), 2θ = 28.54°, I 35; (0 2 0), 2θ = 41.21°, I 34; (3 0 0), 2θ = 31.97°, I 33; (2 0 0), 2θ = 21.16°, I 19; (0 0 3), 2θ = 30.02°, I 18; (1 0 -1), 2θ = 12.71°, I 17; (2 0 1), 2θ = 25.42°, I 17; (3 1 -1), 2θ = 37.51°, I 16; (3 2 0), 2θ = 53.08°, I 16; (2 1 1), 2θ = 32.72°, I 16